Record 1
The following is a simulated XRD peak list of TbB4Ir6. It was derived from a crystal structure in Alexandria, relaxed with GGA-PBE, using a wavelength of 1.5418 Å.
No peak broadening, texture or thermal motion is included.

Top 10 peaks for 2θ from 15° to 90°, low angle first:
| index | Position (°2θ) | d [Å] | Rel. int. |
| --- | --- | --- | --- |
| 1 1 2 | 29.7 | 3.010 | 29 |
| 1 0 3 | 32.7 | 2.742 | 20 |
| 2 0 2 | 37.7 | 2.383 | 100 |
| 0 0 4 | 37.9 | 2.371 | 11 |
| 1 1 4 | 44.7 | 2.026 | 15 |
| 2 2 0 | 46.6 | 1.948 | 13 |
| 2 1 3 | 46.7 | 1.944 | 10 |
| 2 2 2 | 50.6 | 1.803 | 10 |
| 2 2 4 | 61.6 | 1.505 | 15 |
| 4 0 2 | 71.3 | 1.323 | 15 |

Atomic structure:
a = 5.510 Å, b = 5.510 Å, c = 9.485 Å
α = 90.00°, β = 90.00°, γ = 90.00°
Space group I-42m (No. 121)
One atom of each set of equivalent atoms:
Tb: 0.000 0.000 0.000 (multiplicity 2)
B: 0.186 0.186 0.607 (multiplicity 8)
Ir: 0.000 0.500 0.000 (multiplicity 4)
Ir: 0.174 0.174 0.298 (multiplicity 8)

=====

Record 2
The following is a simulated XRD peak list of Mg3Al7Pd2. It was derived from a crystal structure in Alexandria, relaxed with GGA-PBE, using a wavelength of 1.5418 Å.
No peak broadening, texture or thermal motion is included.

Top 10 peaks for 2θ from 15° to 90°, low angle first:
| index | Position (°2θ) | d [Å] | Rel. int. |
| --- | --- | --- | --- |
| 1 0 1 | 19.3 | 4.600 | 41 |
| 0 1 2 | 20.2 | 4.390 | 21 |
| 1 1 0 | 33.2 | 2.700 | 46 |
| 1 1 3 | 34.9 | 2.573 | 31 |
| 1 1 6 | 39.5 | 2.279 | 100 |
| 0 0 12 | 42.5 | 2.125 | 39 |
| 1 1 9 | 46.5 | 1.955 | 21 |
| 3 0 6 | 63.6 | 1.463 | 24 |
| 2 2 0 | 69.6 | 1.350 | 17 |
| 2 2 12 | 85.1 | 1.139 | 17 |

Atomic structure:
a = 5.3999 Å, b = 5.3999 Å, c = 25.4995 Å
α = 90.00°, β = 90.00°, γ = 120.00°
Space group R-3m (No. 166, hexagonal axes)
One atom of each set of equivalent atoms:
Mg: 0.0000 0.0000 0.0000 (multiplicity 3)
Mg: 0.0000 0.0000 0.1435 (multiplicity 6)
Al: 0.0000 0.0000 0.5000 (multiplicity 3)
Al: 0.0038 0.5019 0.9187 (multiplicity 18)
Pd: 0.0000 0.0000 0.3342 (multiplicity 6)

=====

Record 3
The following is a simulated XRD peak list of TbVPd6. It was derived from a crystal structure in Alexandria, relaxed with GGA-PBE, using a wavelength of 1.5418 Å.
No peak broadening, texture or thermal motion is included.

Top 10 peaks for 2θ from 15° to 90°, low angle first:
| index | Position (°2θ) | d [Å] | Rel. int. |
| --- | --- | --- | --- |
| 1 0 1 | 24.8 | 3.590 | 5 |
| 0 0 3 | 33.5 | 2.675 | 9 |
| 1 1 2 | 38.9 | 2.317 | 100 |
| 2 0 0 | 45.2 | 2.006 | 48 |
| 2 0 3 | 57.4 | 1.605 | 3 |
| 2 2 0 | 65.8 | 1.419 | 29 |
| 1 1 5 | 67.0 | 1.396 | 4 |
| 3 1 2 | 79.1 | 1.210 | 24 |
| 1 1 6 | 79.2 | 1.209 | 9 |
| 2 2 4 | 83.4 | 1.158 | 10 |

Atomic structure:
a = 4.015 Å, b = 4.015 Å, c = 8.017 Å
α = 90.00°, β = 90.00°, γ = 90.00°
Space group P4/mmm (No. 123)
One atom of each set of equivalent atoms:
Tb: 0.000 0.000 0.000 (multiplicity 1)
V: 0.000 0.000 0.500 (multiplicity 1)
Pd: 0.000 0.500 0.269 (multiplicity 4)
Pd: 0.500 0.500 0.000 (multiplicity 1)
Pd: 0.500 0.500 0.500 (multiplicity 1)

=====

Record 4
The following is a simulated XRD peak list of LaPr2Er4. It was derived from a crystal structure in Alexandria, relaxed with GGA-PBE, using a wavelength of 1.5418 Å.
No peak broadening, texture or thermal motion is included.

Top 10 peaks for 2θ from 15° to 90°, low angle first:
| index | Position (°2θ) | d [Å] | Rel. int. |
| --- | --- | --- | --- |
| 2 0 0 | 26.2 | 3.400 | 14 |
| 0 4 0 | 29.6 | 3.021 | 14 |
| 1 3 2 | 30.1 | 2.969 | 100 |
| 2 0 2 | 30.5 | 2.928 | 23 |
| 0 0 4 | 31.0 | 2.886 | 50 |
| 0 4 2 | 33.5 | 2.676 | 31 |
| 2 2 2 | 34.0 | 2.636 | 68 |
| 2 2 4 | 43.8 | 2.067 | 18 |
| 2 6 2 | 55.4 | 1.660 | 17 |
| 2 2 6 | 57.1 | 1.614 | 16 |

Atomic structure:
a = 6.800 Å, b = 12.083 Å, c = 11.542 Å
α = 90.00°, β = 90.00°, γ = 90.00°
Space group Cmcm (No. 63)
One atom of each set of equivalent atoms:
La: 0.000 0.118 0.250 (multiplicity 4)
Pr: 0.000 0.171 0.750 (multiplicity 4)
Pr: 0.000 0.483 0.750 (multiplicity 4)
Er: 0.000 0.279 0.023 (multiplicity 8)
Er: 0.221 0.000 0.000 (multiplicity 8)

=====

Record 5
The following is a simulated XRD peak list of K2UAs2O9. It was derived from a crystal structure in Alexandria, relaxed with GGA-PBE, using a wavelength of 1.5418 Å.
No peak broadening, texture or thermal motion is included.

Top 10 peaks for 2θ from 15° to 90°, low angle first:
| index | Position (°2θ) | d [Å] | Rel. int. |
| --- | --- | --- | --- |
| 0 0 1 | 15.2 | 5.811 | 100 |
| 2 2 0 | 19.2 | 4.628 | 47 |
| 2 2 1 | 24.6 | 3.620 | 84 |
| 1 3 1 | 26.0 | 3.432 | 30 |
| 3 1 1 | 26.9 | 3.314 | 32 |
| 2 4 0 | 29.9 | 2.987 | 43 |
| 4 2 0 | 31.2 | 2.871 | 29 |
| 2 4 1 | 33.7 | 2.656 | 34 |
| 4 2 1 | 34.9 | 2.574 | 27 |
| 4 2 2 | 44.4 | 2.042 | 28 |

Atomic structure:
a = 12.678 Å, b = 13.546 Å, c = 5.811 Å
α = 90.00°, β = 90.00°, γ = 90.00°
Space group Pmmn (No. 59, origin choice 2)
One atom of each set of equivalent atoms:
K: 0.079 0.250 0.026 (multiplicity 4)
K: 0.250 0.584 0.997 (multiplicity 4)
U: 0.000 0.000 0.500 (multiplicity 4)
As: 0.120 0.750 0.503 (multiplicity 4)
As: 0.250 0.131 0.536 (multiplicity 4)
O: 0.063 0.649 0.636 (multiplicity 8)
O: 0.074 0.517 0.234 (multiplicity 8)
O: 0.124 0.750 0.217 (multiplicity 4)
O: 0.141 0.079 0.664 (multiplicity 8)
O: 0.250 0.143 0.251 (multiplicity 4)
O: 0.250 0.250 0.680 (multiplicity 2)
O: 0.250 0.750 0.637 (multiplicity 2)

=====

Record 6
The following is a simulated XRD peak list of PmTl2InF6. It was derived from a crystal structure in Alexandria, relaxed with GGA-PBE, using a wavelength of 1.5418 Å.
No peak broadening, texture or thermal motion is included.

Top 10 peaks for 2θ from 15° to 90°, low angle first:
| index | Position (°2θ) | d [Å] | Rel. int. |
| --- | --- | --- | --- |
| 1 1 0 | 26.0 | 3.427 | 100 |
| 1 0 4 | 26.7 | 3.344 | 95 |
| 0 2 4 | 37.6 | 2.393 | 49 |
| 3 0 0 | 45.9 | 1.979 | 28 |
| 3 -1 4 | 46.3 | 1.962 | 48 |
| 0 1 8 | 47.5 | 1.915 | 19 |
| 2 2 0 | 53.5 | 1.714 | 16 |
| 1 3 4 | 60.7 | 1.525 | 19 |
| 1 2 8 | 61.7 | 1.503 | 16 |
| 3 2 4 | 73.3 | 1.291 | 13 |

Atomic structure:
a = 6.8548 Å, b = 6.8548 Å, c = 16.1863 Å
α = 90.00°, β = 90.00°, γ = 120.00°
Space group R3 (No. 146, hexagonal axes)
One atom of each set of equivalent atoms:
Pm: 0.0000 0.0000 0.0000 (multiplicity 3)
Tl: 0.0000 0.0000 0.2731 (multiplicity 3)
Tl: 0.0000 0.0000 0.7695 (multiplicity 3)
In: 0.0000 0.0000 0.5079 (multiplicity 3)
F: 0.0147 0.4193 0.7339 (multiplicity 9)
F: 0.0936 0.6902 0.5735 (multiplicity 9)